This entry pairs a crystal structure of KAl2NiP3H4O14 with its simulated X-ray powder pattern. Radiation: a wavelength of 1.5418 Å. Structure: the PBE+U geometry in the Materials Project.
Kinematic intensities with the Lorentz-polarization factor, no thermal factor.

a = 8.3384 Å, b = 8.3384 Å, c = 8.7740 Å
α = 104.12°, β = 104.12°, γ = 75.49°
Positions (direct):
K1 0.1348 0.8652 0.7500
K2 0.8652 0.1348 0.2500
Al1 0.2506 0.4051 0.4268
Al2 0.4051 0.2506 0.9268
Al3 0.5949 0.7494 0.0732
Al4 0.7494 0.5949 0.5732
Ni1 0.2261 0.7739 0.2500
Ni2 0.7739 0.2261 0.7500
P1 0.0817 0.3320 0.6736
P2 0.3320 0.0817 0.1736
P3 0.4981 0.5019 0.2500
P4 0.5019 0.4981 0.7500
P5 0.6680 0.9183 0.8264
P6 0.9183 0.6680 0.3264
H1 0.0204 0.2813 0.9797
H2 0.1284 0.5728 0.9586
H3 0.2813 0.0204 0.4797
H4 0.4272 0.8716 0.5414
H5 0.5728 0.1284 0.4586
H6 0.7187 0.9796 0.5203
H7 0.8716 0.4272 0.0414
H8 0.9796 0.7187 0.0203
O1 0.0032 0.8080 0.3207
O2 0.0404 0.4965 0.3411
O3 0.1007 0.6907 0.0165
O4 0.1752 0.2725 0.5307
O5 0.1920 0.9968 0.1793
O6 0.2104 0.3740 0.8338
O7 0.2725 0.1752 0.0307
O8 0.3093 0.8993 0.4835
O9 0.3291 0.5268 0.3068
O10 0.3489 0.5244 0.6129
O11 0.3740 0.2104 0.3338
O12 0.4732 0.6709 0.1932
O13 0.4756 0.6511 0.8871
O14 0.4965 0.0404 0.8411
O15 0.5035 0.9596 0.1589
O16 0.5244 0.3489 0.1129
O17 0.5268 0.3291 0.8068
O18 0.6260 0.7896 0.6662
O19 0.6511 0.4756 0.3871
O20 0.6709 0.4732 0.6932
O21 0.6907 0.1007 0.5165
O22 0.7275 0.8248 0.9693
O23 0.7896 0.6260 0.1662
O24 0.8080 0.0032 0.8207
O25 0.8248 0.7275 0.4693
O26 0.8993 0.3093 0.9835
O27 0.9596 0.5035 0.6589
O28 0.9968 0.1920 0.6793

Main lines, by angle (2θ from 10° to 90°):
Position (°2θ)	intensity
11.2	166
16.9	1000
21.3	388
26.7	255
27.2	298
28.4	517
29.1	492
29.9	731
33.6	332
44.8	181